For CsAcReN3, a crystal structure in Alexandria, relaxed with GGA-PBE gives the calculated X-ray diffraction stick pattern in this record (Cu Kα).
Intensities are scaled so that the largest is 100.

Structure:
Cell lengths 7.458, 7.458, 9.274 Å; angles 105.76, 105.76, 30.19 degrees
Element x y z (fractional)
Cs 0.140 0.140 0.059
Cs 0.860 0.860 0.941
Ac 0.156 0.156 0.582
Ac 0.844 0.844 0.418
Re 0.490 0.490 0.696
Re 0.510 0.510 0.304
N 0.013 0.013 0.339
N 0.347 0.347 0.617
N 0.374 0.374 0.231
N 0.626 0.626 0.769
N 0.653 0.653 0.383
N 0.987 0.987 0.661

Principal peaks in the range 2θ from 10° to 90°, by angle:
| d (Å) | Rel. int. |
| --- | --- |
| 3.338 | 47 |
| 3.200 | 53 |
| 2.977 | 100 |
| 2.969 | 90 |
| 2.317 | 20 |
| 2.303 | 20 |


For CsAc2Re2N6, a crystal structure in Alexandria, relaxed with GGA-PBE gives the calculated X-ray diffraction stick pattern in this record (Cu Kα).
Intensities are scaled so that the largest is 100.

Structure:
Cell lengths 6.927, 6.927, 7.359 Å; angles 116.19, 116.19, 63.61 degrees
Element x y z (fractional)
Cs 0.000 0.000 0.000
Ac 0.320 0.320 0.717
Ac 0.680 0.680 0.283
Re 0.384 0.384 0.321
Re 0.616 0.616 0.679
N 0.101 0.503 0.337
N 0.425 0.425 0.110
N 0.497 0.899 0.663
N 0.503 0.101 0.337
N 0.575 0.575 0.890
N 0.899 0.497 0.663

Principal peaks in the range 2θ from 10° to 90°, by angle:
| d (Å) | Rel. int. |
| --- | --- |
| 5.909 | 72 |
| 3.771 | 33 |
| 3.651 | 100 |
| 3.210 | 29 |
| 3.048 | 71 |
| 3.011 | 44 |


For CsAcWN3, a crystal structure in Alexandria, relaxed with GGA-PBE gives the calculated X-ray diffraction stick pattern in this record (Cu Kα).
Intensities are scaled so that the largest is 100.

Structure:
Cell lengths 7.609, 7.609, 8.838 Å; angles 104.40, 104.40, 30.60 degrees
Element x y z (fractional)
Cs 0.137 0.137 0.064
Cs 0.863 0.863 0.936
Ac 0.163 0.163 0.600
Ac 0.837 0.837 0.400
W 0.488 0.488 0.659
W 0.512 0.512 0.341
N 0.014 0.014 0.357
N 0.350 0.350 0.629
N 0.381 0.381 0.227
N 0.619 0.619 0.773
N 0.650 0.650 0.371
N 0.986 0.986 0.643

Principal peaks in the range 2θ from 10° to 90°, by angle:
| d (Å) | Rel. int. |
| --- | --- |
| 8.539 | 72 |
| 3.301 | 35 |
| 3.157 | 46 |
| 3.060 | 100 |
| 2.970 | 86 |
| 2.364 | 24 |